Diffraction record for YWO3. The powder diffraction line list is computed, not measured: it uses the PBE+U geometry in the Materials Project and Cu Ka.
Intensities are scaled so that the largest is 100.

Crystal structure
Cell: 5.907 8.014 5.546 Å, 90.00 90.00 90.00°
Space group Pnma (No. 62)
Unique sites:
Y: 0.068 0.250 0.019 (multiplicity 4)
W: 0.000 0.000 0.500 (multiplicity 4)
O: 0.065 0.750 0.361 (multiplicity 4)
O: 0.186 0.568 0.821 (multiplicity 8)

Peak list (8 most intense, 5 to 70 degrees two-theta, low angle first)
index  two_theta  Rel. int.
1 0 1  21.98  20
2 0 0  30.26  23
1 2 1  31.43  100
0 0 2  32.28  24
2 0 2  44.83  19
0 4 0  45.26  12
3 2 1  54.50  15
1 2 3  57.03  23